The following is a theoretical powder XRD pattern of Ho5As2Se2. It was derived from a PBE-relaxed structure, using Cu Ka.

Peak list (10 most intense, 15° ≤ 2θ ≤ 90°, sorted by position)
2θ 26.24, 3.396 Å, intensity 41; 2θ 26.86, 3.320 Å, intensity 25; 2θ 32.16, 2.783 Å, intensity 100; 2θ 33.30, 2.691 Å, intensity 29; 2θ 34.29, 2.615 Å, intensity 25; 2θ 35.26, 2.545 Å, intensity 34; 2θ 36.31, 2.474 Å, intensity 88; 2θ 37.79, 2.381 Å, intensity 63; 2θ 38.01, 2.368 Å, intensity 64; 2θ 69.45, 1.353 Å, intensity 32

Structure:
```
Ho5As2Se2
1.0
7.2227 -3.7920 0.0000
7.2227 3.7920 0.0000
0.0000 0.0000 7.6384
Ho As Se
10 4 4
Cartesian
0.0000 0.0000 0.0000
5.2727 2.5913 5.0071
5.2727 1.2007 1.1879
9.1726 2.5913 5.0071
9.1726 1.2007 1.1879
7.2227 0.0000 3.8192
5.2727 -1.2007 6.4506
5.2727 -2.5913 2.6313
9.1726 -1.2007 6.4506
9.1726 -2.5913 2.6313
7.2227 2.6818 2.7118
7.2227 1.1102 6.5310
7.2227 -1.1102 1.1074
7.2227 -2.6818 4.9266
2.8521 0.0000 0.0000
4.3706 0.0000 3.8192
10.0747 0.0000 3.8192
11.5933 0.0000 0.0000
```